(1)
The following is a theoretical powder X-ray diffraction pattern of In2Hg4PI5. It was derived from a cell relaxed with GGA-PBE, using λ = 1.5418 Å (Cu Kα).
Kinematic intensities with the Lorentz-polarization factor, no thermal factor.

Top 12 peaks for 10 to 90 degrees two-theta, low angle first:
d (Å)  intensity
6.531  45
4.016  62
3.819  100
3.266  31
3.085  48
3.055  77
2.682  36
2.473  41
2.401  31
2.354  24
2.330  42
2.255  27

Structural model:
abc: 9.4154 8.0801 8.0801
angles: 126.07 90.00 90.00
Element x y z (fractional)
1 In 0.0000 0.1945 0.8055
2 In 0.0000 0.8055 0.1945
3 Hg 0.3134 0.4297 0.4297
4 Hg 0.5000 0.3543 0.9860
5 Hg 0.5000 0.9860 0.3543
6 Hg 0.6866 0.4297 0.4297
7 P 0.5000 0.1878 0.1878
8 I 0.0000 0.2570 0.2570
9 I 0.2587 0.5407 0.8428
10 I 0.2587 0.8428 0.5407
11 I 0.7413 0.5407 0.8428
12 I 0.7413 0.8428 0.5407

---

(2)
The following is a theoretical powder X-ray diffraction pattern of Sc4AgAu. It was derived from a cell relaxed with GGA-PBE, using λ = 1.5418 Å (Cu Kα).
Kinematic intensities with the Lorentz-polarization factor, no thermal factor.

Top 12 peaks for 10 to 90 degrees two-theta, low angle first:
d (Å)  intensity
6.631  7
4.686  5
3.827  98
3.314  9
2.344  100
1.999  51
1.657  16
1.521  21
1.353  33
1.276  16
1.172  10
1.120  16

Structural model:
abc: 4.6864 4.6864 6.6314
angles: 90.00 90.00 90.00
Element x y z (fractional)
1 Sc 0.0000 0.5000 0.2450
2 Sc 0.0000 0.5000 0.7550
3 Sc 0.5000 0.0000 0.2450
4 Sc 0.5000 0.0000 0.7550
5 Ag 0.0000 0.0000 0.5000
6 Au 0.5000 0.5000 0.0000

---

(3)
The following is a theoretical powder X-ray diffraction pattern of ThH7Rh4. It was derived from a cell relaxed with GGA-PBE, using λ = 1.5418 Å (Cu Kα).
Kinematic intensities with the Lorentz-polarization factor, no thermal factor.

Top 12 peaks for 10 to 90 degrees two-theta, low angle first:
d (Å)  intensity
4.654  33
4.206  31
3.570  51
2.807  100
2.643  87
2.552  51
2.373  77
2.353  64
2.309  40
2.278  37
2.089  38
1.766  52

Structural model:
abc: 9.0827 5.4201 4.7454
angles: 90.00 90.00 90.00
Element x y z (fractional)
1 Th 0.0000 0.2449 0.0000
2 Th 0.5000 0.7551 0.5000
3 H 0.0000 0.7602 0.6254
4 H 0.1034 0.1861 0.5099
5 H 0.1381 0.5875 0.3441
6 H 0.1786 0.9215 0.8750
7 H 0.3214 0.0785 0.3750
8 H 0.3619 0.4125 0.8441
9 H 0.3966 0.8139 0.0099
10 H 0.5000 0.2398 0.1254
11 H 0.6034 0.8139 0.0099
12 H 0.6381 0.4125 0.8441
13 H 0.6786 0.0785 0.3750
14 H 0.8214 0.9215 0.8750
15 H 0.8619 0.5875 0.3441
16 H 0.8966 0.1861 0.5099
17 Rh 0.1623 0.8919 0.4981
18 Rh 0.2244 0.6111 0.0013
19 Rh 0.2756 0.3889 0.5013
20 Rh 0.3377 0.1081 0.9981
21 Rh 0.6623 0.1081 0.9981
22 Rh 0.7244 0.3889 0.5013
23 Rh 0.7756 0.6111 0.0013
24 Rh 0.8377 0.8919 0.4981

---

(4)
The following is a theoretical powder X-ray diffraction pattern of Dy2TmTh6. It was derived from a cell relaxed with GGA-PBE, using λ = 1.5418 Å (Cu Kα).
Kinematic intensities with the Lorentz-polarization factor, no thermal factor.

Top 12 peaks for 10 to 90 degrees two-theta, low angle first:
d (Å)  intensity
3.713  19
3.113  20
3.009  18
2.851  100
2.777  53
2.767  30
2.699  63
2.504  24
2.185  14
1.838  15
1.560  14
1.494  23

Structural model:
abc: 6.1323 6.1382 8.7000
angles: 76.29 76.18 70.60
Element x y z (fractional)
1 Dy 0.1653 0.1634 0.4058
2 Dy 0.8347 0.8366 0.5942
3 Tm 0.5000 0.5000 0.5000
4 Th 0.1725 0.7131 0.2096
5 Th 0.2759 0.2759 0.9750
6 Th 0.2847 0.8273 0.7915
7 Th 0.7153 0.1727 0.2085
8 Th 0.7241 0.7241 0.0250
9 Th 0.8275 0.2869 0.7904

---

(5)
The following is a theoretical powder X-ray diffraction pattern of Tl4GeAu4. It was derived from a cell relaxed with GGA-PBE, using λ = 1.5418 Å (Cu Kα).
Kinematic intensities with the Lorentz-polarization factor, no thermal factor.

Top 12 peaks for 10 to 90 degrees two-theta, low angle first:
d (Å)  intensity
3.376  10
3.172  100
2.990  45
2.761  29
2.488  18
2.243  41
2.176  77
1.829  11
1.794  29
1.526  12
1.418  21
1.282  15

Structural model:
abc: 7.4759 7.4759 7.4759
angles: 129.79 129.79 73.75
Element x y z (fractional)
1 Tl 0.0561 0.6552 0.0000
2 Tl 0.3448 0.3448 0.4009
3 Tl 0.6552 0.0561 0.0000
4 Tl 0.9439 0.9439 0.5991
5 Ge 0.5000 0.5000 0.0000
6 Au 0.1458 0.1458 0.5190
7 Au 0.3731 0.8542 0.0000
8 Au 0.6269 0.6269 0.4810
9 Au 0.8542 0.3731 0.0000